For Sc4TlH, a DFT-relaxed cell (GGA-PBE, Alexandria) gives the theoretical powder diffraction line list in this record (Cu Kα (λ = 1.5418 Å)).

Main lines, sorted by position (15° ≤ 2θ ≤ 90°):
| (hkl) | 2θ/deg | I/Imax |
| --- | --- | --- |
| 1 1 0 | 16.92 | 80 |
| 1 1 -1 | 21.25 | 25 |
| 3 1 0 | 25.31 | 31 |
| 3 1 1 | 32.16 | 48 |
| 4 0 -2 | 34.08 | 69 |
| 0 2 1 | 34.84 | 32 |
| 2 2 -1 | 35.87 | 100 |
| 1 1 2 | 36.02 | 94 |
| 5 1 0 | 37.02 | 77 |
| 3 3 1 | 56.41 | 30 |

Structural model:
Cell: 13.974 5.694 6.256 Å, 90.00 106.12 90.00°
Space group C2/c (No. 15)
Unique sites:
Sc  0.102  0.080  0.442 (multiplicity 8)
Sc  0.195  0.411  0.148 (multiplicity 8)
Tl  0.000  0.402  0.750 (multiplicity 4)
H  0.250  0.250  0.500 (multiplicity 4)

=====

For Tm4Sc2Tl3H2, a DFT-relaxed cell (GGA-PBE, Alexandria) gives the theoretical powder diffraction line list in this record (Cu Kα (λ = 1.5418 Å)).

Main lines, sorted by position (15° ≤ 2θ ≤ 90°):
| (hkl) | 2θ/deg | I/Imax |
| --- | --- | --- |
| 1 0 1 | 19.48 | 32 |
| 1 0 5 | 26.94 | 24 |
| 1 1 2 | 28.21 | 21 |
| 1 1 4 | 31.18 | 24 |
| 1 1 6 | 35.63 | 100 |
| 2 0 0 | 38.79 | 46 |
| 2 0 10 | 55.54 | 13 |
| 2 2 0 | 56.02 | 16 |
| 2 0 12 | 61.85 | 15 |
| 3 1 6 | 68.17 | 31 |

Structural model:
Cell: 4.643 4.643 23.588 Å, 90.00 90.00 90.00°
Space group I4/mmm (No. 139)
Unique sites:
Tm  0.000  0.500  0.087 (multiplicity 8)
Sc  0.000  0.000  0.195 (multiplicity 4)
Tl  0.000  0.000  0.321 (multiplicity 4)
Tl  0.000  0.000  0.500 (multiplicity 2)
H  0.000  0.000  0.104 (multiplicity 4)

=====

For TmSc2H8, a DFT-relaxed cell (GGA-PBE, Alexandria) gives the theoretical powder diffraction line list in this record (Cu Kα (λ = 1.5418 Å)).

Main lines, sorted by position (15° ≤ 2θ ≤ 90°):
| (hkl) | 2θ/deg | I/Imax |
| --- | --- | --- |
| 0 0 2 | 17.29 | 46 |
| 0 1 1 | 20.18 | 73 |
| 1 0 1 | 27.62 | 33 |
| 0 1 3 | 31.98 | 100 |
| 1 1 0 | 32.09 | 99 |
| 1 1 2 | 36.68 | 32 |
| 0 2 0 | 36.91 | 33 |
| 1 0 3 | 37.28 | 64 |
| 1 2 3 | 53.47 | 49 |
| 1 3 0 | 63.46 | 27 |

Structural model:
Cell: 3.402 4.871 10.258 Å, 90.00 90.00 90.00°
Space group Immm (No. 71)
Unique sites:
Tm  0.000  0.000  0.000 (multiplicity 2)
Sc  0.000  0.000  0.331 (multiplicity 4)
H  0.000  0.215  0.500 (multiplicity 4)
H  0.000  0.269  0.165 (multiplicity 8)
H  0.000  0.500  0.344 (multiplicity 4)

=====

For YSc2H8, a DFT-relaxed cell (GGA-PBE, Alexandria) gives the theoretical powder diffraction line list in this record (Cu Kα (λ = 1.5418 Å)).

Main lines, sorted by position (15° ≤ 2θ ≤ 90°):
| (hkl) | 2θ/deg | I/Imax |
| --- | --- | --- |
| 0 1 1 | 19.98 | 12 |
| 1 1 0 | 31.75 | 100 |
| 0 2 0 | 36.51 | 16 |
| 1 0 3 | 36.99 | 31 |
| 1 2 3 | 52.95 | 24 |
| 0 0 6 | 53.18 | 6 |
| 2 0 0 | 53.44 | 6 |
| 1 3 0 | 62.75 | 13 |
| 1 1 6 | 63.31 | 12 |
| 2 1 3 | 63.48 | 12 |

Structural model:
Cell: 3.429 4.922 10.335 Å, 90.00 90.00 90.00°
Space group Immm (No. 71)
Unique sites:
Y  0.000  0.000  0.000 (multiplicity 2)
Sc  0.000  0.000  0.330 (multiplicity 4)
H  0.000  0.209  0.500 (multiplicity 4)
H  0.000  0.272  0.166 (multiplicity 8)
H  0.000  0.500  0.342 (multiplicity 4)

=====

For Zr3ScH8, a DFT-relaxed cell (GGA-PBE, Alexandria) gives the theoretical powder diffraction line list in this record (Cu Kα (λ = 1.5418 Å)).

Main lines, sorted by position (15° ≤ 2θ ≤ 90°):
| (hkl) | 2θ/deg | I/Imax |
| --- | --- | --- |
| 1 0 1 | 20.90 | 7 |
| 1 1 2 | 32.44 | 100 |
| 0 0 4 | 36.41 | 17 |
| 2 0 0 | 38.22 | 29 |
| 2 0 4 | 53.81 | 24 |
| 2 2 0 | 55.17 | 11 |
| 1 1 6 | 63.03 | 14 |
| 3 1 2 | 65.47 | 24 |
| 2 2 4 | 67.91 | 11 |
| 3 1 6 | 88.58 | 11 |

Structural model:
Cell: 4.709 4.709 9.871 Å, 90.00 90.00 90.00°
Space group I4/mmm (No. 139)
Unique sites:
Zr  0.000  0.000  0.000 (multiplicity 2)
Zr  0.000  0.500  0.250 (multiplicity 4)
Sc  0.000  0.000  0.500 (multiplicity 2)
H  0.250  0.250  0.124 (multiplicity 16)

=====

For ZrScH, a DFT-relaxed cell (GGA-PBE, Alexandria) gives the theoretical powder diffraction line list in this record (Cu Kα (λ = 1.5418 Å)).

Main lines, sorted by position (15° ≤ 2θ ≤ 90°):
| (hkl) | 2θ/deg | I/Imax |
| --- | --- | --- |
| 0 0 1 | 17.21 | 16 |
| 1 0 0 | 31.49 | 31 |
| 0 0 2 | 34.82 | 23 |
| 1 0 1 | 36.10 | 100 |
| 0 1 2 | 47.65 | 20 |
| 1 1 0 | 56.08 | 17 |
| 1 0 3 | 63.26 | 18 |
| 1 1 2 | 67.72 | 18 |
| 0 2 1 | 68.53 | 14 |
| 0 2 3 | 89.54 | 7 |

Structural model:
Cell: 3.2801 3.2801 5.1537 Å, 90.00 90.00 120.00°
Space group P3m1 (No. 156)
Unique sites:
Zr  0.0000  0.0000  0.0000 (multiplicity 1)
Sc  0.3333  0.6667  0.5035 (multiplicity 1)
H  0.6667  0.3333  0.2398 (multiplicity 1)

=====

For SiH4Se, a DFT-relaxed cell (GGA-PBE, Alexandria) gives the theoretical powder diffraction line list in this record (Cu Kα (λ = 1.5418 Å)).

Main lines, sorted by position (15° ≤ 2θ ≤ 90°):
| (hkl) | 2θ/deg | I/Imax |
| --- | --- | --- |
| 1 1 0 | 17.24 | 100 |
| 2 0 0 | 23.09 | 11 |
| 0 2 0 | 25.78 | 27 |
| 1 1 -1 | 30.88 | 15 |
| 1 1 1 | 31.01 | 15 |
| 2 0 -1 | 34.56 | 12 |
| 2 0 1 | 34.78 | 12 |
| 1 3 0 | 40.89 | 11 |
| 2 2 -1 | 43.62 | 11 |
| 2 2 1 | 43.80 | 11 |

Structural model:
Cell: 7.703 6.910 3.493 Å, 90.00 90.36 90.00°
Space group Cm (No. 8)
Unique sites:
Si  0.000  0.000  0.000 (multiplicity 2)
H  0.136  0.445  0.492 (multiplicity 4)
H  0.391  0.322  0.999 (multiplicity 4)
Se  0.194  0.000  0.503 (multiplicity 2)

=====

For Sn2TeHSe, a DFT-relaxed cell (GGA-PBE, Alexandria) gives the theoretical powder diffraction line list in this record (Cu Kα (λ = 1.5418 Å)).

Main lines, sorted by position (15° ≤ 2θ ≤ 90°):
| (hkl) | 2θ/deg | I/Imax |
| --- | --- | --- |
| 2 0 0 | 32.13 | 55 |
| 1 1 1 | 33.24 | 100 |
| 2 2 0 | 46.08 | 20 |
| 0 0 2 | 49.32 | 8 |
| 3 1 1 | 57.99 | 41 |
| 2 0 2 | 60.09 | 19 |
| 2 2 2 | 69.79 | 12 |
| 4 2 0 | 76.46 | 9 |
| 3 3 1 | 77.07 | 9 |
| 1 1 3 | 81.95 | 8 |

Structural model:
Cell: 5.571 5.571 3.695 Å, 90.00 90.00 90.00°
Space group P4/mmm (No. 123)
Unique sites:
Sn  0.000  0.500  0.000 (multiplicity 2)
Te  0.000  0.000  0.500 (multiplicity 1)
H  0.500  0.500  0.000 (multiplicity 1)
Se  0.500  0.500  0.500 (multiplicity 1)